Starting from DFT lattice parameters and positions (GGA-PBE), the powder XRD pattern of Tl2Si2I was computed for Cu Ka.
Neutral-atom scattering factors, no anomalous dispersion.

Crystal structure
```
Tl2Si2I
1.0
-1.773 1.773 11.137
1.773 -1.773 11.137
1.773 1.773 -11.137
Tl Si I
2 2 1
Direct
0.121 0.121 0.000
0.879 0.879 0.000
0.250 0.750 0.500
0.750 0.250 0.500
0.500 0.500 0.000
```

Top 10 peaks for 15 to 90 degrees two-theta, low angle first:
| d [Å] | Position (°2θ) | Rel. int. |
| --- | --- | --- |
| 5.568 | 15.92 | 26.0 |
| 3.502 | 25.44 | 22.1 |
| 3.200 | 27.88 | 100.0 |
| 2.784 | 32.15 | 38.4 |
| 2.774 | 32.27 | 89.7 |
| 2.507 | 35.81 | 38.2 |
| 2.286 | 39.41 | 29.3 |
| 1.863 | 48.88 | 31.0 |
| 1.551 | 59.62 | 24.0 |
| 1.495 | 62.10 | 51.3 |



Starting from DFT lattice parameters and positions (GGA-PBE), the powder XRD pattern of Tm4SiI5 was computed for Cu Ka.
Neutral-atom scattering factors, no anomalous dispersion.

Crystal structure
```
Tm4SiI5
1.0
9.457 -2.071 0.000
9.457 2.071 0.000
-1.894 0.000 8.474
Tm Si I
4 1 5
Direct
0.000 0.000 0.206
0.000 0.000 0.794
0.356 0.356 0.927
0.644 0.644 0.073
0.500 0.500 0.000
0.166 0.166 0.335
0.172 0.172 0.830
0.500 0.500 0.500
0.828 0.828 0.170
0.834 0.834 0.665
```

Top 10 peaks for 15 to 90 degrees two-theta, low angle first:
| d [Å] | Position (°2θ) | Rel. int. |
| --- | --- | --- |
| 3.329 | 26.78 | 15.0 |
| 3.076 | 29.03 | 47.7 |
| 3.057 | 29.21 | 16.4 |
| 2.997 | 29.81 | 100.0 |
| 2.756 | 32.49 | 20.8 |
| 2.171 | 41.61 | 16.1 |
| 2.155 | 41.91 | 32.9 |
| 2.138 | 42.27 | 31.2 |
| 2.071 | 43.70 | 18.9 |
| 1.718 | 53.32 | 17.9 |



Starting from DFT lattice parameters and positions (GGA-PBE), the powder XRD pattern of V2SiI was computed for Cu Ka.
Neutral-atom scattering factors, no anomalous dispersion.

Crystal structure
```
V2SiI
1.0
0.000 3.171 3.171
3.171 0.000 3.171
3.171 3.171 0.000
V Si I
2 1 1
Direct
0.250 0.250 0.250
0.750 0.750 0.750
0.000 0.000 0.000
0.500 0.500 0.500
```

Top 10 peaks for 15 to 90 degrees two-theta, low angle first:
| d [Å] | Position (°2θ) | Rel. int. |
| --- | --- | --- |
| 3.661 | 24.31 | 36.4 |
| 3.171 | 28.14 | 5.7 |
| 2.242 | 40.22 | 100.0 |
| 1.912 | 47.56 | 18.1 |
| 1.585 | 58.19 | 16.0 |
| 1.455 | 64.00 | 7.3 |
| 1.418 | 65.87 | 2.6 |
| 1.294 | 73.11 | 31.8 |
| 1.220 | 78.35 | 5.5 |
| 1.121 | 86.90 | 10.2 |



Starting from DFT lattice parameters and positions (GGA-PBE), the powder XRD pattern of Y4Si2I5 was computed for Cu Ka.
Neutral-atom scattering factors, no anomalous dispersion.

Crystal structure
```
Y4Si2I5
1.0
-2.068 4.255 13.283
2.068 -4.255 13.283
2.068 4.255 -13.283
Y Si I
4 2 5
Direct
0.142 0.142 0.000
0.200 0.500 0.700
0.800 0.500 0.300
0.858 0.858 0.000
0.043 0.043 0.000
0.957 0.957 0.000
0.081 0.332 0.749
0.417 0.668 0.749
0.500 0.000 0.500
0.583 0.332 0.251
0.919 0.668 0.251
```

Top 10 peaks for 15 to 90 degrees two-theta, low angle first:
| d [Å] | Position (°2θ) | Rel. int. |
| --- | --- | --- |
| 4.428 | 20.05 | 100.0 |
| 3.748 | 23.74 | 16.4 |
| 3.246 | 27.48 | 22.2 |
| 3.068 | 29.11 | 16.4 |
| 2.948 | 30.32 | 80.6 |
| 2.813 | 31.81 | 19.0 |
| 2.590 | 34.64 | 30.6 |
| 2.337 | 38.52 | 41.2 |
| 2.068 | 43.77 | 17.6 |
| 1.874 | 48.59 | 23.7 |



Starting from DFT lattice parameters and positions (GGA-PBE), the powder XRD pattern of Sm3I was computed for Cu Ka.
Neutral-atom scattering factors, no anomalous dispersion.

Crystal structure
```
Sm3I
1.0
3.646 0.000 0.000
0.000 3.732 0.000
0.000 0.000 10.255
Sm I
3 1
Direct
0.000 0.000 0.000
0.000 0.500 0.294
0.500 0.500 0.760
0.500 0.000 0.488
```

Top 10 peaks for 15 to 90 degrees two-theta, low angle first:
| d [Å] | Position (°2θ) | Rel. int. |
| --- | --- | --- |
| 3.435 | 25.94 | 59.6 |
| 3.017 | 29.61 | 100.0 |
| 2.564 | 35.00 | 26.0 |
| 2.527 | 35.52 | 79.5 |
| 2.494 | 36.02 | 47.0 |
| 2.073 | 43.66 | 14.9 |
| 1.640 | 56.09 | 15.0 |
| 1.612 | 57.14 | 26.1 |
| 1.560 | 59.22 | 28.0 |
| 1.494 | 62.13 | 19.2 |



Starting from DFT lattice parameters and positions (GGA-PBE), the powder XRD pattern of SmTlSnI6 was computed for Cu Ka.
Neutral-atom scattering factors, no anomalous dispersion.

Crystal structure
```
SmTlSnI6
1.0
8.088 0.000 0.000
-4.044 7.005 0.000
0.000 0.000 15.252
Sm Tl Sn I
2 2 2 12
Direct
0.333 0.667 0.250
0.667 0.333 0.750
0.000 0.000 0.000
0.000 0.000 0.500
0.333 0.667 0.750
0.667 0.333 0.250
0.009 0.366 0.132
0.009 0.643 0.368
0.357 0.366 0.368
0.357 0.991 0.132
0.366 0.009 0.632
0.366 0.357 0.868
0.634 0.643 0.132
0.634 0.991 0.368
0.643 0.009 0.868
0.643 0.634 0.632
0.991 0.357 0.632
0.991 0.634 0.868
```

Top 10 peaks for 15 to 90 degrees two-theta, low angle first:
| d [Å] | Position (°2θ) | Rel. int. |
| --- | --- | --- |
| 5.159 | 17.19 | 69.3 |
| 3.573 | 24.92 | 100.0 |
| 3.183 | 28.04 | 18.9 |
| 2.774 | 32.27 | 90.6 |
| 2.501 | 35.91 | 28.0 |
| 2.335 | 38.56 | 52.6 |
| 2.152 | 41.98 | 24.6 |
| 1.786 | 51.13 | 22.3 |
| 1.477 | 62.94 | 23.0 |
| 1.419 | 65.83 | 19.9 |



Starting from DFT lattice parameters and positions (GGA-PBE), the powder XRD pattern of TbSm2I8 was computed for Cu Ka.
Neutral-atom scattering factors, no anomalous dispersion.

Crystal structure
```
TbSm2I8
1.0
7.451 -5.781 0.000
7.451 5.781 0.000
-0.216 0.000 7.257
Tb Sm I
1 2 8
Direct
0.000 0.000 0.000
0.188 0.188 0.646
0.812 0.812 0.354
0.123 0.723 0.232
0.182 0.182 0.227
0.277 0.877 0.768
0.376 0.376 0.754
0.624 0.624 0.246
0.723 0.123 0.232
0.818 0.818 0.773
0.877 0.277 0.768
```

Top 10 peaks for 15 to 90 degrees two-theta, low angle first:
| d [Å] | Position (°2θ) | Rel. int. |
| --- | --- | --- |
| 5.781 | 15.33 | 54.2 |
| 5.632 | 15.73 | 42.3 |
| 4.566 | 19.44 | 47.3 |
| 3.897 | 22.82 | 100.0 |
| 3.816 | 23.31 | 49.4 |
| 3.629 | 24.53 | 48.2 |
| 2.888 | 30.97 | 72.5 |
| 2.867 | 31.20 | 55.9 |
| 2.611 | 34.35 | 41.7 |
| 2.357 | 38.19 | 49.8 |



Starting from DFT lattice parameters and positions (GGA-PBE), the powder XRD pattern of TbSmI3 was computed for Cu Ka.
Neutral-atom scattering factors, no anomalous dispersion.

Crystal structure
```
TbSmI3
1.0
8.413 0.000 0.000
0.000 3.948 0.000
-2.692 0.000 11.056
Tb Sm I
2 2 6
Direct
0.011 0.250 0.138
0.989 0.750 0.862
0.481 0.750 0.367
0.519 0.250 0.633
0.202 0.250 0.412
0.222 0.250 0.770
0.281 0.750 0.092
0.719 0.250 0.908
0.778 0.750 0.230
0.798 0.750 0.588
```

Top 10 peaks for 15 to 90 degrees two-theta, low angle first:
| d [Å] | Position (°2θ) | Rel. int. |
| --- | --- | --- |
| 3.491 | 25.52 | 100.0 |
| 3.096 | 28.83 | 84.7 |
| 2.804 | 31.91 | 26.3 |
| 2.714 | 33.01 | 83.0 |
| 2.700 | 33.18 | 27.8 |
| 2.491 | 36.06 | 27.2 |
| 2.372 | 37.93 | 57.5 |
| 2.119 | 42.67 | 22.6 |
| 1.972 | 46.02 | 65.5 |
| 1.665 | 55.18 | 27.1 |